This entry pairs a crystal structure of LiEu2CBr3N2 with its theoretical X-ray powder pattern. Radiation: Cu Kα. Structure: a DFT-relaxed cell (PBE, the Materials Project).

The 6 most intense peaks (2θ from 10° to 90°), by intensity:
| two_theta | I/Imax |
| --- | --- |
| 31.81 | 100 |
| 21.05 | 42 |
| 34.71 | 39 |
| 47.79 | 28 |
| 53.17 | 28 |
| 29.95 | 23 |

Cell: 10.337 10.337 10.337 Å, 60.00 60.00 60.00°
Fractional coordinates of all 36 atoms:
Li1 0.000 0.000 0.000
Li2 0.000 0.000 0.500
Li3 0.000 0.500 0.000
Li4 0.500 0.000 0.000
Eu1 0.279 0.279 0.279
Eu2 0.279 0.279 0.664
Eu3 0.279 0.664 0.279
Eu4 0.336 0.721 0.721
Eu5 0.664 0.279 0.279
Eu6 0.721 0.336 0.721
Eu7 0.721 0.721 0.336
Eu8 0.721 0.721 0.721
C1 0.000 0.500 0.500
C2 0.500 0.000 0.500
C3 0.500 0.500 0.000
C4 0.500 0.500 0.500
Br1 0.072 0.072 0.678
Br2 0.072 0.678 0.072
Br3 0.072 0.678 0.678
Br4 0.322 0.322 0.928
Br5 0.322 0.928 0.322
Br6 0.322 0.928 0.928
Br7 0.678 0.072 0.072
Br8 0.678 0.072 0.678
Br9 0.678 0.678 0.072
Br10 0.928 0.322 0.322
Br11 0.928 0.322 0.928
Br12 0.928 0.928 0.322
N1 0.146 0.451 0.451
N2 0.451 0.146 0.451
N3 0.451 0.451 0.146
N4 0.451 0.451 0.451
N5 0.549 0.549 0.549
N6 0.549 0.549 0.854
N7 0.549 0.854 0.549
N8 0.854 0.549 0.549